Record 1
This entry pairs a crystal structure of Li3In4 with its calculated powder X-ray diffraction pattern. Radiation: Cu Kα (λ = 1.5418 Å). Structure: a GGA-PBE-relaxed structure.

Structure:
Cell: 8.4373 8.4373 8.4373 Å, 90.00 90.00 90.00°
Space group I-43d (No. 220)
One atom of each set of equivalent atoms:
1 Li 0.0000 0.2500 0.3750 x12
2 In 0.0833 0.0833 0.0833 x16

Largest 10 diffraction maxima, most intense first, 2θ = 10–80°:
| 2θ/deg | Rel. int. |
| --- | --- |
| 25.87 | 100.0 |
| 39.98 | 70.8 |
| 33.59 | 59.1 |
| 55.54 | 35.9 |
| 53.18 | 33.4 |
| 68.56 | 20.1 |
| 72.62 | 11.5 |
| 29.95 | 11.4 |
| 76.59 | 9.5 |
| 42.87 | 8.8 |

Record 2
This entry pairs a crystal structure of Li5In with its calculated powder X-ray diffraction pattern. Radiation: Cu Kα (λ = 1.5418 Å). Structure: a GGA-PBE-relaxed structure.

Structure:
Cell: 5.2897 5.2897 4.8167 Å, 90.00 90.00 120.00°
Space group P6/mmm (No. 191)
One atom of each set of equivalent atoms:
1 Li 0.0000 0.5000 0.0000 x3
2 Li 0.3333 0.6667 0.5000 x2
3 In 0.0000 0.0000 0.5000 x1

Largest 10 diffraction maxima, most intense first, 2θ = 10–80°:
| 2θ/deg | Rel. int. |
| --- | --- |
| 26.86 | 100.0 |
| 19.38 | 90.4 |
| 38.85 | 47.6 |
| 18.42 | 37.5 |
| 33.89 | 29.6 |
| 56.48 | 24.1 |
| 42.40 | 24.1 |
| 39.34 | 21.2 |
| 43.76 | 17.9 |
| 51.31 | 17.7 |

Record 3
This entry pairs a crystal structure of LiIn3 with its calculated powder X-ray diffraction pattern. Radiation: Cu Kα (λ = 1.5418 Å). Structure: a GGA-PBE-relaxed structure.

Structure:
Cell: 3.4201 3.4201 9.6273 Å, 90.00 90.00 120.00°
Space group P-6m2 (No. 187)
One atom of each set of equivalent atoms:
1 Li 0.0000 0.0000 0.0000 x1
2 In 0.0000 0.0000 0.5000 x1
3 In 0.3333 0.6667 0.2343 x2

Largest 10 diffraction maxima, most intense first, 2θ = 10–80°:
| 2θ/deg | Rel. int. |
| --- | --- |
| 35.59 | 100.0 |
| 30.17 | 33.5 |
| 31.60 | 22.5 |
| 53.59 | 19.8 |
| 67.15 | 17.7 |
| 37.36 | 17.4 |
| 66.00 | 15.6 |
| 48.75 | 14.7 |
| 66.24 | 12.4 |
| 27.80 | 10.9 |

Record 4
This entry pairs a crystal structure of Li5In7 with its calculated powder X-ray diffraction pattern. Radiation: Cu Kα (λ = 1.5418 Å). Structure: a GGA-PBE-relaxed structure.

Structure:
Cell: 8.3673 4.7843 13.1742 Å, 90.00 101.62 90.00°
Space group C2/m (No. 12)
One atom of each set of equivalent atoms:
1 Li 0.0000 0.0000 0.0000 x2
2 Li 0.1101 0.5000 0.8345 x4
3 Li 0.1488 0.0000 0.4390 x4
4 In 0.0000 0.5000 0.5000 x2
5 In 0.0767 0.0000 0.2217 x4
6 In 0.1943 0.5000 0.0797 x4
7 In 0.2144 0.0000 0.6606 x4

Largest 10 diffraction maxima, most intense first, 2θ = 10–80°:
| 2θ/deg | Rel. int. |
| --- | --- |
| 37.31 | 100.0 |
| 26.80 | 75.4 |
| 37.60 | 41.0 |
| 23.26 | 35.4 |
| 24.37 | 33.4 |
| 37.05 | 31.5 |
| 31.51 | 29.7 |
| 33.46 | 26.9 |
| 39.24 | 24.0 |
| 28.39 | 16.9 |

Record 5
This entry pairs a crystal structure of Li5In4 with its calculated powder X-ray diffraction pattern. Radiation: Cu Kα (λ = 1.5418 Å). Structure: a GGA-PBE-relaxed structure.

Structure:
Cell: 9.2133 4.5026 9.0516 Å, 90.00 107.08 90.00°
Space group C2/m (No. 12)
One atom of each set of equivalent atoms:
1 Li 0.0000 0.0000 0.0000 x2
2 Li 0.0032 0.0000 0.3334 x4
3 Li 0.1749 0.5000 0.2231 x4
4 In 0.1564 0.5000 0.8944 x4
5 In 0.1710 0.5000 0.5635 x4

Largest 10 diffraction maxima, most intense first, 2θ = 10–80°:
| 2θ/deg | Rel. int. |
| --- | --- |
| 35.84 | 100.0 |
| 36.54 | 94.7 |
| 22.17 | 76.3 |
| 23.17 | 46.9 |
| 20.17 | 38.9 |
| 40.05 | 38.8 |
| 20.53 | 37.9 |
| 25.71 | 36.6 |
| 25.25 | 31.8 |
| 42.20 | 31.4 |

Record 6
This entry pairs a crystal structure of Li12In with its calculated powder X-ray diffraction pattern. Radiation: Cu Kα (λ = 1.5418 Å). Structure: a GGA-PBE-relaxed structure.

Structure:
Cell: 11.1287 11.1287 11.1287 Å, 90.00 90.00 90.00°
Space group Fm-3m (No. 225)
One atom of each set of equivalent atoms:
1 Li 0.0000 0.1716 0.1716 x48
2 In 0.0000 0.0000 0.5000 x4

Largest 10 diffraction maxima, most intense first, 2θ = 10–80°:
| 2θ/deg | Rel. int. |
| --- | --- |
| 26.57 | 100.0 |
| 13.78 | 90.2 |
| 15.93 | 63.4 |
| 22.60 | 42.5 |
| 48.39 | 38.8 |
| 35.15 | 37.0 |
| 39.68 | 34.1 |
| 27.77 | 31.6 |
| 36.09 | 26.6 |
| 49.12 | 25.6 |

Record 7
This entry pairs a crystal structure of Li2In with its calculated powder X-ray diffraction pattern. Radiation: Cu Kα (λ = 1.5418 Å). Structure: a GGA-PBE-relaxed structure.

Structure:
Cell: 7.6795 7.6795 7.6795 Å, 90.00 90.00 90.00°
Space group Fd-3m (No. 227, origin choice 2)
One atom of each set of equivalent atoms:
1 Li 0.0000 0.0000 0.0000 x16
2 In 0.1250 0.1250 0.6250 x8

Largest 10 diffraction maxima, most intense first, 2θ = 10–80°:
| 2θ/deg | Rel. int. |
| --- | --- |
| 20.03 | 100.0 |
| 32.99 | 98.6 |
| 38.90 | 70.5 |
| 58.92 | 35.6 |
| 51.90 | 23.2 |
| 62.88 | 21.9 |
| 72.87 | 16.4 |
| 78.83 | 15.1 |
| 47.35 | 14.6 |
| 69.20 | 12.9 |

Record 8
This entry pairs a crystal structure of LiMg6In3 with its calculated powder X-ray diffraction pattern. Radiation: Cu Kα (λ = 1.5418 Å). Structure: a GGA-PBE-relaxed structure.

Structure:
Cell: 13.2057 13.2057 9.1009 Å, 90.00 90.00 120.00°
Space group R-3 (No. 148, hexagonal axes)
One atom of each set of equivalent atoms:
1 Li 0.0000 0.0000 0.0000 x3
2 Li 0.0000 0.0000 0.5000 x3
3 Mg 0.0116 0.2340 0.0644 x18
4 Mg 0.0709 0.2555 0.4443 x18
5 In 0.0261 0.1658 0.7511 x18

Largest 10 diffraction maxima, most intense first, 2θ = 10–80°:
| 2θ/deg | Rel. int. |
| --- | --- |
| 40.39 | 100.0 |
| 21.01 | 81.9 |
| 35.61 | 79.7 |
| 22.77 | 63.9 |
| 29.83 | 51.7 |
| 27.01 | 33.6 |
| 34.47 | 32.4 |
| 62.02 | 30.4 |
| 32.48 | 28.3 |
| 23.33 | 23.7 |